(1)
Calculated powder diffractogram
Compound: Tb7GeSe5
Radiation: Cu Kα (weighted mean of Kα1 and Kα2)
Structure: a DFT-relaxed cell (GGA-PBE, Alexandria)

Cell and atoms:
Cell: 6.9605 6.9605 24.1648 Å, 90.03 90.03 34.01°
Atoms (fractional coordinates):
Tb (0.0356, 0.0356, 0.2501)
Tb (0.1390, 0.1390, 0.5378)
Tb (0.1388, 0.1388, 0.9623)
Tb (0.3060, 0.3060, 0.1810)
Tb (0.3055, 0.3055, 0.3190)
Tb (0.4071, 0.4071, 0.6179)
Tb (0.4067, 0.4067, 0.8819)
Tb (0.5933, 0.5933, 0.1181)
Tb (0.5929, 0.5929, 0.3821)
Tb (0.6945, 0.6945, 0.6810)
Tb (0.6940, 0.6940, 0.8190)
Tb (0.8612, 0.8612, 0.0377)
Tb (0.8610, 0.8610, 0.4622)
Tb (0.9644, 0.9644, 0.7499)
Ge (0.3083, 0.3083, 0.7503)
Ge (0.6917, 0.6917, 0.2497)
Se (0.0524, 0.0524, 0.6442)
Se (0.0521, 0.0521, 0.8559)
Se (0.2232, 0.2232, 0.0721)
Se (0.2231, 0.2231, 0.4279)
Se (0.5000, 0.5000, 0.0000)
Se (0.5000, 0.5000, 0.5000)
Se (0.7769, 0.7769, 0.5721)
Se (0.7768, 0.7768, 0.9279)
Se (0.9479, 0.9479, 0.1441)
Se (0.9476, 0.9476, 0.3558)

Top 10 peaks for 2θ from 10° to 80°, in order of rising 2θ:
2θ (°)	Rel. int.
29.14	79
30.02	33
30.71	100
31.83	62
32.55	40
40.83	39
44.11	27
44.51	39
44.79	33
54.08	28



(2)
Calculated powder diffractogram
Compound: CsMgTl2
Radiation: Cu Kα (weighted mean of Kα1 and Kα2)
Structure: a DFT-relaxed cell (GGA-PBE, Alexandria)

Cell and atoms:
Cell: 3.7957 3.7957 9.2776 Å, 90.00 90.00 90.00°
Atoms (fractional coordinates):
Cs (0.0000, 0.0000, 0.0000)
Mg (0.0000, 0.0000, 0.5000)
Tl (0.5000, 0.5000, 0.3132)
Tl (0.5000, 0.5000, 0.6868)

Top 10 peaks for 2θ from 10° to 80°, in order of rising 2θ:
2θ (°)	Rel. int.
23.44	29
25.35	56
28.87	34
30.43	100
33.38	64
37.51	22
44.71	42
47.93	23
55.05	36
57.84	33



(3)
Calculated powder diffractogram
Compound: Er3C2Br2
Radiation: Cu Kα (weighted mean of Kα1 and Kα2)
Structure: a DFT-relaxed cell (GGA-PBE, Alexandria)

Cell and atoms:
Cell: 3.5597 6.2576 7.3437 Å, 98.33 90.01 106.40°
Atoms (fractional coordinates):
Er (0.0000, 0.0000, 0.0000)
Er (0.2296, 0.4602, 0.7983)
Er (0.7704, 0.5398, 0.2017)
C (0.3656, 0.7301, 0.0652)
C (0.6344, 0.2699, 0.9348)
Br (0.1228, 0.2438, 0.3822)
Br (0.8772, 0.7562, 0.6178)

Top 10 peaks for 2θ from 10° to 80°, in order of rising 2θ:
2θ (°)	Rel. int.
12.19	34
26.14	42
29.42	30
30.77	100
34.90	76
36.95	31
37.98	28
44.99	26
49.32	33
61.03	23